Record 1
# Eu2HfWO6
Theoretical X-ray diffraction stick pattern, Cu Kα X-rays. Input: a crystal structure in the Materials Project, relaxed with PBE+U.
Neutral-atom scattering factors, no anomalous dispersion.

Peak list (8 most intense, 10 to 90 degrees two-theta, in order of rising 2θ)
two_theta  I/Imax  hkl
21.52  2  2 0 0
30.61  100  2 2 0
43.84  27  4 0 0
54.42  41  4 2 2
63.74  17  4 4 0
72.35  18  6 2 0
80.57  6  4 4 4
88.60  22  6 4 2

Lattice parameters (Å, degrees): 8.2600 8.2600 8.2600 90.00 90.00 90.00
Space group Fm-3m (No. 225)
Asymmetric unit:
Eu: 0.2500 0.2500 0.2500 (multiplicity 8)
Hf: 0.0000 0.0000 0.0000 (multiplicity 4)
W: 0.0000 0.0000 0.5000 (multiplicity 4)
O: 0.0000 0.0000 0.2495 (multiplicity 24)

=====

Record 2
# NaSbMoO5
Theoretical X-ray diffraction stick pattern, Cu Kα X-rays. Input: a crystal structure in the Materials Project, relaxed with PBE+U.
Neutral-atom scattering factors, no anomalous dispersion.

Peak list (8 most intense, 10 to 90 degrees two-theta, in order of rising 2θ)
two_theta  I/Imax  hkl
10.43  23  1 0 0
18.73  29  1 1 -1
18.99  23  1 2 0
22.41  22  2 1 0
24.70  30  2 1 -1
26.07  15  1 3 0
26.29  100  1 2 1
28.34  18  2 2 -1

Lattice parameters (Å, degrees): 8.6975 11.2010 5.7358 90.00 102.69 90.00
Space group P2_1/c (No. 14)
Asymmetric unit:
Na: 0.0846 0.1401 0.0332 (multiplicity 4)
Sb: 0.4498 0.1641 0.8197 (multiplicity 4)
Mo: 0.2032 0.5919 0.0580 (multiplicity 4)
O: 0.0636 0.6814 0.1594 (multiplicity 4)
O: 0.1284 0.5465 0.7591 (multiplicity 4)
O: 0.2493 0.0420 0.7487 (multiplicity 4)
O: 0.3335 0.2370 0.0491 (multiplicity 4)
O: 0.3875 0.6729 0.0754 (multiplicity 4)

=====

Record 3
# Ba2VSi2O8
Theoretical X-ray diffraction stick pattern, Cu Kα X-rays. Input: a crystal structure in the Materials Project, relaxed with PBE+U.
Neutral-atom scattering factors, no anomalous dispersion.

Peak list (8 most intense, 10 to 90 degrees two-theta, in order of rising 2θ)
two_theta  I/Imax  hkl
23.11  15  2 1 0
26.62  40  2 0 1
28.61  100  2 1 1
32.92  24  3 1 0
41.19  22  2 1 2
43.36  17  4 1 0
46.74  17  4 1 1
57.07  20  3 3 2

Lattice parameters (Å, degrees): 8.6050 8.6050 5.3328 90.00 90.00 90.00
Space group P4bm (No. 100)
Asymmetric unit:
Ba: 0.1717 0.3283 0.0000 (multiplicity 4)
V: 0.0000 0.0000 0.5430 (multiplicity 2)
Si: 0.1295 0.6295 0.5239 (multiplicity 4)
O: 0.0000 0.0000 0.2299 (multiplicity 2)
O: 0.0000 0.5000 0.6356 (multiplicity 2)
O: 0.0774 0.7936 0.6572 (multiplicity 8)
O: 0.1292 0.6292 0.2221 (multiplicity 4)

=====

Record 4
# K4V5CuClO15
Theoretical X-ray diffraction stick pattern, Cu Kα X-rays. Input: a crystal structure in the Materials Project, relaxed with PBE+U.
Neutral-atom scattering factors, no anomalous dispersion.

Peak list (8 most intense, 10 to 90 degrees two-theta, in order of rising 2θ)
two_theta  I/Imax  hkl
15.65  38  0 0 1
22.14  15  1 2 0
25.32  19  2 0 1
27.23  100  1 2 1
28.11  12  2 2 0
31.54  64  0 0 2
45.20  30  2 4 0
53.65  12  1 2 3

Lattice parameters (Å, degrees): 8.9780 8.9780 5.6632 90.00 90.00 90.00
Space group P4 (No. 75)
Asymmetric unit:
K: 0.1542 0.6873 0.0000 (multiplicity 4)
V: 0.1382 0.3697 0.4716 (multiplicity 4)
V: 0.5000 0.5000 0.4354 (multiplicity 1)
Cu: 0.0000 0.0000 0.4194 (multiplicity 1)
Cl: 0.0000 0.0000 0.8709 (multiplicity 1)
O: 0.0000 0.5000 0.3528 (multiplicity 2)
O: 0.0930 0.1955 0.3730 (multiplicity 4)
O: 0.1412 0.3796 0.7657 (multiplicity 4)
O: 0.3143 0.4163 0.3458 (multiplicity 4)
O: 0.5000 0.5000 0.7214 (multiplicity 1)

=====

Record 5
# Mg6MnBO8
Theoretical X-ray diffraction stick pattern, Cu Kα X-rays. Input: a crystal structure in the Materials Project, relaxed with PBE+U.
Neutral-atom scattering factors, no anomalous dispersion.

Peak list (8 most intense, 10 to 90 degrees two-theta, in order of rising 2θ)
two_theta  I/Imax  hkl
10.44  18  0 0 1
23.30  16  1 0 1
36.51  20  1 1 2
42.28  100  2 0 0
42.67  47  0 0 4
61.34  28  2 2 0
61.63  53  2 0 4
77.59  24  2 2 4

Lattice parameters (Å, degrees): 4.2748 4.2748 8.4765 90.00 90.00 90.00
Space group P4/mmm (No. 123)
Asymmetric unit:
Mg: 0.0000 0.0000 0.0000 (multiplicity 1)
Mg: 0.0000 0.0000 0.5000 (multiplicity 1)
Mg: 0.0000 0.5000 0.2420 (multiplicity 4)
Mn: 0.5000 0.5000 0.5000 (multiplicity 1)
B: 0.5000 0.5000 0.0000 (multiplicity 1)
O: 0.0000 0.0000 0.2498 (multiplicity 2)
O: 0.0000 0.5000 0.0000 (multiplicity 2)
O: 0.0000 0.5000 0.5000 (multiplicity 2)
O: 0.5000 0.5000 0.2317 (multiplicity 2)